Record 1
In9Cu11: computed powder diffractogram (Cu Kα, 1.54184 Å), based on a crystal structure in the Materials Project, relaxed with PBE.
Lines closer than 0.1° are merged.

Main lines, most intense first (2θ = 10–80°):
(0 2 0), 41.05 deg, d = 2.199 Å, I 100
(3 1 0), 41.42 deg, d = 2.180 Å, I 94
(1 1 -4), 42.00 deg, d = 2.151 Å, I 86
(2 0 -2), 29.08 deg, d = 3.070 Å, I 42
(1 1 2), 29.19 deg, d = 3.060 Å, I 33
(1 1 4), 42.22 deg, d = 2.141 Å, I 32
(2 0 4), 42.45 deg, d = 2.129 Å, I 22
(2 1 -1), 32.39 deg, d = 2.764 Å, I 19

Crystal structure
a = 7.530 Å, b = 4.399 Å, c = 10.403 Å
α = 90.00°, β = 90.61°, γ = 90.00°
Atoms (fractional coordinates):
In 0.000 0.000 0.000
In 0.141 0.500 0.612
In 0.198 0.500 0.158
In 0.306 0.000 0.359
In 0.385 0.000 0.877
In 0.615 0.000 0.123
In 0.694 0.000 0.641
In 0.802 0.500 0.842
In 0.859 0.500 0.388
Cu 0.000 0.000 0.500
Cu 0.030 0.000 0.749
Cu 0.173 0.500 0.880
Cu 0.342 0.000 0.615
Cu 0.473 0.500 0.737
Cu 0.500 0.500 0.000
Cu 0.500 0.500 0.500
Cu 0.527 0.500 0.263
Cu 0.658 0.000 0.385
Cu 0.827 0.500 0.120
Cu 0.970 0.000 0.251


Record 2
InCu2: computed powder diffractogram (Cu Kα, 1.54184 Å), based on a crystal structure in the Materials Project, relaxed with PBE.
Lines closer than 0.1° are merged.

Main lines, most intense first (2θ = 10–80°):
(1 1 0), 40.50 deg, d = 2.227 Å, I 100
(1 0 2), 40.96 deg, d = 2.203 Å, I 78
(2 0 2), 58.96 deg, d = 1.566 Å, I 25
(2 1 2), 73.98 deg, d = 1.281 Å, I 24
(1 1 2), 53.46 deg, d = 1.714 Å, I 18
(3 0 0), 73.67 deg, d = 1.286 Å, I 15
(1 0 1), 28.49 deg, d = 3.133 Å, I 13
(0 0 2), 33.38 deg, d = 2.684 Å, I 12

Crystal structure
a = 4.455 Å, b = 4.455 Å, c = 5.368 Å
α = 90.00°, β = 90.00°, γ = 120.00°
Atoms (fractional coordinates):
In 0.333 0.667 0.250
In 0.667 0.333 0.750
Cu 0.000 0.000 0.000
Cu 0.000 0.000 0.500
Cu 0.333 0.667 0.750
Cu 0.667 0.333 0.250